Structure and theoretical X-ray powder pattern of Pr13Zn2 (a PBE-relaxed structure; Cu Kα X-rays).

Main lines, most intense first (10 to 90 degrees two-theta):
| Position (°2θ) | I_rel |
| --- | --- |
| 29.0 | 100 |
| 29.2 | 48 |
| 34.5 | 38 |
| 33.0 | 37 |
| 32.0 | 32 |
| 27.9 | 30 |
| 30.3 | 28 |
| 32.5 | 26 |
| 31.2 | 26 |
| 30.6 | 23 |

a = 6.791 Å, b = 8.633 Å, c = 9.765 Å
α = 64.14°, β = 82.03°, γ = 80.70°
Space group P-1 (No. 2)
One atom of each set of equivalent atoms:
Pr 0.000 0.000 0.000
Pr 0.031 0.213 0.334
Pr 0.190 0.641 0.365
Pr 0.239 0.579 0.019
Pr 0.276 0.360 0.774
Pr 0.439 0.057 0.154
Pr 0.487 0.769 0.575
Zn 0.177 0.068 0.672


Structure and theoretical X-ray powder pattern of Pr2Zn3 (a PBE-relaxed structure; Cu Kα X-rays).

Main lines, most intense first (10 to 90 degrees two-theta):
| Position (°2θ) | I_rel |
| --- | --- |
| 32.6 | 100 |
| 33.1 | 63 |
| 37.6 | 52 |
| 39.0 | 35 |
| 52.1 | 35 |
| 23.1 | 23 |
| 63.9 | 21 |
| 69.7 | 20 |
| 49.7 | 19 |
| 35.1 | 17 |

a = 3.670 Å, b = 28.006 Å, c = 4.617 Å
α = 90.00°, β = 90.00°, γ = 90.00°
Space group Cmcm (No. 63)
One atom of each set of equivalent atoms:
Pr 0.000 0.071 0.250
Pr 0.000 0.208 0.750
Zn 0.000 0.332 0.750
Zn 0.000 0.383 0.250
Zn 0.000 0.477 0.250


Structure and theoretical X-ray powder pattern of Pr2Zn17 (a PBE-relaxed structure; Cu Kα X-rays).

Main lines, most intense first (10 to 90 degrees two-theta):
| Position (°2θ) | I_rel |
| --- | --- |
| 40.0 | 100 |
| 39.8 | 62 |
| 38.1 | 39 |
| 34.3 | 37 |
| 40.7 | 34 |
| 44.9 | 34 |
| 28.2 | 26 |
| 73.6 | 20 |
| 72.2 | 18 |
| 58.2 | 16 |

a = 9.0683 Å, b = 9.0683 Å, c = 8.8668 Å
α = 90.00°, β = 90.00°, γ = 120.00°
Space group P6_3/mmc (No. 194)
One atom of each set of equivalent atoms:
Pr 0.0000 0.0000 0.2500
Pr 0.3333 0.6667 0.2500
Zn 0.0000 0.5000 0.0000
Zn 0.0420 0.3717 0.7500
Zn 0.1621 0.3242 0.0197
Zn 0.3333 0.6667 0.6027


Structure and theoretical X-ray powder pattern of Pr6Zn5 (a PBE-relaxed structure; Cu Kα X-rays).

Main lines, most intense first (10 to 90 degrees two-theta):
| Position (°2θ) | I_rel |
| --- | --- |
| 34.3 | 100 |
| 34.5 | 49 |
| 61.7 | 35 |
| 24.2 | 20 |
| 61.4 | 18 |
| 49.6 | 17 |
| 83.0 | 11 |
| 72.4 | 11 |
| 24.0 | 10 |
| 42.5 | 9 |

a = 5.201 Å, b = 7.425 Å, c = 15.591 Å
α = 90.00°, β = 90.00°, γ = 90.00°
Space group Immm (No. 71)
One atom of each set of equivalent atoms:
Pr 0.000 0.248 0.164
Pr 0.000 0.251 0.500
Zn 0.000 0.000 0.332
Zn 0.000 0.500 0.000
Zn 0.000 0.500 0.327